Starting from DFT lattice parameters and positions (PBE), the powder diffractogram of TbHoAg2Te4 was simulated for Cu Ka.
Intensities are scaled so that the largest is 100.

Crystal structure
```
data_TbHoAg2Te4
_cell_length_a 10.0484
_cell_length_b 10.0488
_cell_length_c 4.7220
_cell_angle_alpha 90.00
_cell_angle_beta 90.00
_cell_angle_gamma 90.00
_symmetry_space_group_name_H-M 'C m m 2'
_symmetry_Int_Tables_number 35
_symmetry_space_group_name_Hall 'C 2 -2'
loop_
_atom_site_label
_atom_site_fract_x
_atom_site_fract_y
_atom_site_fract_z
Tb1 0.0000 0.0000 0.0000
Ho1 0.0000 0.5000 0.6182
Ag1 0.2500 0.2500 0.8107
Te1 0.0000 0.2993 0.1011
Te2 0.2033 0.0000 0.5170
```

Top 10 peaks for 2θ = 10–80°, in order of rising 2θ:
- 25.9 deg, 3.441 Å, rel. 100, hkl 0 2 1
- 28.1 deg, 3.178 Å, rel. 29, hkl 3 1 0
- 31.5 deg, 2.839 Å, rel. 59, hkl 2 2 1
- 34.0 deg, 2.636 Å, rel. 85, hkl 1 3 1
- 35.7 deg, 2.512 Å, rel. 81, hkl 4 0 0
- 42.3 deg, 2.137 Å, rel. 39, hkl 2 0 2
- 42.7 deg, 2.117 Å, rel. 58, hkl 3 3 1
- 53.2 deg, 1.722 Å, rel. 20, hkl 3 5 0
- 73.5 deg, 1.289 Å, rel. 20, hkl 2 4 3
- 74.7 deg, 1.271 Å, rel. 23, hkl 7 3 1